For Li3Mn4B4O12, a crystal structure in the Materials Project, relaxed with GGA+U gives the simulated powder X-ray diffraction pattern in this record (Cu Kα).
No peak broadening, texture or thermal motion is included.

The 6 most intense peaks (10 to 80 degrees two-theta), in order of rising 2θ:
| hkl | 2θ (°) | d_spacing | I (rel.) |
| --- | --- | --- | --- |
| 1 1 2 | 20.25 | 4.386 | 100 |
| 0 2 1 | 21.95 | 4.050 | 52 |
| 2 0 1 | 22.77 | 3.905 | 79 |
| 2 2 0 | 34.17 | 2.624 | 100 |
| 2 -2 2 | 40.45 | 2.230 | 64 |
| 4 2 1 | 51.14 | 1.786 | 37 |

Crystal structure
```
Li3Mn4B4O12
1.0
7.9252 0.0000 0.0000
1.2059 8.1983 0.0000
3.6878 2.8872 7.7601
Li Mn B O
6 8 8 24
Cartesian
0.0000 0.0000 0.0000
2.5211 3.2031 3.0679
4.7480 7.6184 3.9127
4.5132 4.1284 0.1141
8.0080 3.5031 3.9639
10.6225 6.7091 6.9307
1.5123 2.3727 0.1336
5.7595 8.3415 6.8616
5.0500 1.8483 4.1422
5.5591 4.8632 2.9603
5.9892 6.6722 0.2843
9.0095 4.2570 6.8013
9.4648 6.0132 4.0093
10.0715 8.9652 2.9471
3.8523 4.3742 5.3613
3.2240 6.4574 1.6240
3.7207 0.8918 1.5839
6.7537 5.8727 5.4634
8.4526 8.3586 5.5106
6.6352 2.3808 1.5880
8.2784 4.8645 1.5015
11.3563 9.9626 5.5189
3.0849 7.0305 2.8981
4.4935 9.0830 5.3273
2.2945 6.7204 0.6569
4.6339 3.9833 6.4026
2.6088 1.7433 1.7614
4.0917 3.8329 4.0721
6.6522 6.4355 6.7569
4.3363 5.6347 1.3938
5.8064 6.1413 4.5294
5.7086 8.7474 2.6417
7.2444 9.0538 5.6946
3.9545 0.3616 0.3112
6.4672 2.9176 2.8807
7.8607 5.0541 5.2017
5.8109 2.7758 0.5588
9.2832 8.0672 6.5744
7.0866 5.5510 1.6809
8.7511 7.9355 4.2283
11.1498 10.5111 6.7999
7.7146 1.5271 1.3530
9.3540 2.1794 4.4669
9.0947 4.5247 2.5618
10.6649 5.2102 5.5577
8.5815 4.4090 0.1924
```